# 1
Theoretical XRD peak list
Compound: HgGe2Pd2
Radiation: Cu Kα X-rays
Structure: a PBE-relaxed structure
Peak positions follow from Bragg's law for the DFT cell and can differ from measured ones.

Crystal structure
```
data_HgGe2Pd2
_symmetry_space_group_name_H-M 'I 4/m m m'
_symmetry_Int_Tables_number 139
_symmetry_space_group_name_Hall '-I 4 2'
_cell_length_a 4.4280
_cell_length_b 4.4280
_cell_length_c 9.7541
_cell_angle_alpha 90.00
_cell_angle_beta 90.00
_cell_angle_gamma 90.00
loop_
_atom_site_label
_atom_site_type_symbol
_atom_site_fract_x
_atom_site_fract_y
_atom_site_fract_z
Hg1 Hg 0.0000 0.0000 0.0000
Ge1 Ge 0.0000 0.0000 0.3737
Pd1 Pd 0.0000 0.5000 0.2500
```

Largest 8 diffraction maxima, low angle first, 10° ≤ 2θ ≤ 90°:
| two_theta | d/Å | I (rel.) | index |
| --- | --- | --- | --- |
| 34.0 | 2.635 | 100 | 1 1 2 |
| 34.2 | 2.621 | 55 | 1 0 3 |
| 40.8 | 2.214 | 57 | 2 0 0 |
| 51.2 | 1.785 | 17 | 1 0 5 |
| 54.2 | 1.691 | 30 | 2 1 3 |
| 59.0 | 1.566 | 19 | 2 2 0 |
| 64.6 | 1.443 | 16 | 1 1 6 |
| 69.9 | 1.346 | 25 | 3 1 2 |

# 2
Theoretical XRD peak list
Compound: HgGe2Pd9
Radiation: Cu Kα X-rays
Structure: a PBE-relaxed structure
Peak positions follow from Bragg's law for the DFT cell and can differ from measured ones.

Crystal structure
```
data_HgGe2Pd9
_symmetry_space_group_name_H-M 'P 4/m m m'
_symmetry_Int_Tables_number 123
_symmetry_space_group_name_Hall '-P 4 2'
_cell_length_a 3.9744
_cell_length_b 3.9744
_cell_length_c 11.9331
_cell_angle_alpha 90.00
_cell_angle_beta 90.00
_cell_angle_gamma 90.00
loop_
_atom_site_label
_atom_site_type_symbol
_atom_site_fract_x
_atom_site_fract_y
_atom_site_fract_z
Hg1 Hg 0.0000 0.0000 0.0000
Ge1 Ge 0.0000 0.0000 0.3322
Pd1 Pd 0.0000 0.5000 0.1787
Pd2 Pd 0.0000 0.5000 0.5000
Pd3 Pd 0.5000 0.5000 0.0000
Pd4 Pd 0.5000 0.5000 0.3403
```

Largest 8 diffraction maxima, low angle first, 10° ≤ 2θ ≤ 90°:
| two_theta | d/Å | I (rel.) | index |
| --- | --- | --- | --- |
| 23.6 | 3.771 | 4 | 1 0 1 |
| 35.3 | 2.542 | 3 | 1 1 2 |
| 37.7 | 2.386 | 3 | 0 0 5 |
| 39.3 | 2.295 | 100 | 1 1 3 |
| 45.6 | 1.988 | 48 | 2 0 0 |
| 66.5 | 1.406 | 30 | 2 2 0 |
| 80.1 | 1.199 | 35 | 3 1 3 |
| 84.4 | 1.148 | 10 | 2 2 6 |

# 3
Theoretical XRD peak list
Compound: Pm5HgGe4
Radiation: Cu Kα X-rays
Structure: a PBE-relaxed structure
Peak positions follow from Bragg's law for the DFT cell and can differ from measured ones.

Crystal structure
```
data_Pm5HgGe4
_symmetry_space_group_name_H-M 'I 4'
_symmetry_Int_Tables_number 79
_cell_length_a 9.5504
_cell_length_b 9.5504
_cell_length_c 6.1296
_cell_angle_alpha 90.00
_cell_angle_beta 90.00
_cell_angle_gamma 90.00
loop_
_symmetry_equiv_pos_as_xyz
'x,y,z'
'-y,x,z'
'-x,-y,z'
'y,-x,z'
'x+1/2,y+1/2,z+1/2'
'-y+1/2,x+1/2,z+1/2'
'-x+1/2,-y+1/2,z+1/2'
'y+1/2,-x+1/2,z+1/2'
loop_
_atom_site_label
_atom_site_type_symbol
_atom_site_fract_x
_atom_site_fract_y
_atom_site_fract_z
Pm1 Pm 0.0000 0.0000 0.0000
Pm2 Pm 0.1033 0.6826 0.3894
Hg1 Hg 0.0000 0.0000 0.5126
Ge1 Ge 0.1072 0.7080 0.8867
```

Largest 8 diffraction maxima, low angle first, 10° ≤ 2θ ≤ 90°:
| two_theta | d/Å | I (rel.) | index |
| --- | --- | --- | --- |
| 25.4 | 3.504 | 17 | 1 2 1 |
| 29.1 | 3.065 | 33 | 0 0 2 |
| 29.6 | 3.020 | 100 | 3 1 0 |
| 32.1 | 2.791 | 18 | 1 1 2 |
| 42.0 | 2.151 | 53 | 3 1 2 |
| 42.3 | 2.136 | 36 | 2 4 0 |
| 52.2 | 1.752 | 28 | 2 4 2 |
| 77.2 | 1.236 | 16 | 1 7 2 |

# 4
Theoretical XRD peak list
Compound: Pm8HgGe6
Radiation: Cu Kα X-rays
Structure: a PBE-relaxed structure
Peak positions follow from Bragg's law for the DFT cell and can differ from measured ones.

Crystal structure
```
data_Pm8HgGe6
_symmetry_space_group_name_H-M 'P -3'
_symmetry_Int_Tables_number 147
_cell_length_a 10.6895
_cell_length_b 10.6895
_cell_length_c 3.9818
_cell_angle_alpha 90.00
_cell_angle_beta 90.00
_cell_angle_gamma 120.00
loop_
_symmetry_equiv_pos_as_xyz
'x,y,z'
'-x,-y,-z'
'-y,x-y,z'
'y,-x+y,-z'
'-x+y,-x,z'
'x-y,x,-z'
loop_
_atom_site_label
_atom_site_type_symbol
_atom_site_fract_x
_atom_site_fract_y
_atom_site_fract_z
Pm1 Pm 0.0811 0.3099 0.2602
Pm2 Pm 0.3333 0.6667 0.7506
Hg1 Hg 0.0000 0.0000 0.0000
Ge1 Ge 0.0733 0.5948 0.2449
```

Largest 8 diffraction maxima, low angle first, 10° ≤ 2θ ≤ 90°:
| two_theta | d/Å | I (rel.) | index |
| --- | --- | --- | --- |
| 27.9 | 3.193 | 24 | 2 -1 1 |
| 28.9 | 3.086 | 25 | 3 0 0 |
| 29.6 | 3.019 | 100 | 0 2 1 |
| 33.5 | 2.672 | 32 | 2 2 0 |
| 34.1 | 2.628 | 69 | 3 -1 1 |
| 34.9 | 2.568 | 61 | 1 3 0 |
| 41.9 | 2.158 | 27 | 3 1 1 |
| 58.7 | 1.573 | 23 | 4 -3 2 |